Structure and theoretical powder diffraction line list of AlGe3Mo2 (a DFT-relaxed cell (PBE, the Materials Project); Cu Ka).

The 6 most intense peaks (10 to 90 degrees two-theta), in order of rising 2θ:
hkl 1 1 -2, d = 2.284 Å, I = 100.0
hkl 1 1 2, d = 2.278 Å, I = 47.9
hkl 0 0 6, d = 2.235 Å, I = 51.7
hkl 1 1 -4, d = 1.972 Å, I = 31.2
hkl -1 2 4, d = 1.966 Å, I = 31.2
hkl 1 1 4, d = 1.961 Å, I = 31.4

```
data_AlGe3Mo2
_cell_length_a 4.8532
_cell_length_b 4.8542
_cell_length_c 13.4129
_cell_angle_alpha 90.01
_cell_angle_beta 90.34
_cell_angle_gamma 119.99
_space_group_name_H-M_alt 'P 1'
_space_group_IT_number 1
loop_
_space_group_symop_operation_xyz
'x,y,z'
loop_
_atom_site_label
_atom_site_type_symbol
_atom_site_fract_x
_atom_site_fract_y
_atom_site_fract_z
Al1 Al 0.0000 0.0000 0.0000
Al2 Al 0.0031 0.0022 0.5021
Al3 Al 0.4978 0.4970 0.8355
Ge1 Ge 0.0034 0.4990 0.1667
Ge2 Ge 0.3251 0.1647 0.1658
Ge3 Ge 0.3304 0.1723 0.6683
Ge4 Ge 0.3325 0.6689 0.5018
Ge5 Ge 0.3386 0.6672 0.9987
Ge6 Ge 0.4984 0.4980 0.3357
Ge7 Ge 0.8340 0.1635 0.8371
Ge8 Ge 0.8390 0.1661 0.3369
Ge9 Ge 0.9986 0.4969 0.6687
Mo1 Mo 0.1661 0.8325 0.8320
Mo2 Mo 0.1670 0.8325 0.3322
Mo3 Mo 0.6665 0.3321 0.0044
Mo4 Mo 0.6668 0.3334 0.5012
Mo5 Mo 0.6666 0.8313 0.1710
Mo6 Mo 0.6671 0.8332 0.6678
```